[1]
# K2UBr6
Computed powder X-ray diffraction pattern, Cu Kα (λ = 1.5418 Å). Input: a DFT-relaxed cell (GGA-PBE, Alexandria).
Kinematic intensities with the Lorentz-polarization factor, no thermal factor.

Unit cell a=7.3876 b=7.3876 c=14.2174 alpha=90.00 beta=90.00 gamma=90.00
Space group P4_2/mnm (No. 136)
One atom of each set of equivalent atoms:
K 0.0000 0.0000 0.1657 x4
U 0.0000 0.0000 0.5000 x2
Br 0.1843 0.1843 0.3578 x8
Br 0.2317 0.2317 0.0000 x4

Main lines, by angle (5° ≤ 2θ ≤ 70°):
two_theta	Rel. int.
12.45	38
13.51	100
16.97	68
21.11	18
25.38	67
26.99	23
33.05	66
34.33	34
41.32	44
41.89	23

---

[2]
# K3VBr6
Computed powder X-ray diffraction pattern, Cu Kα (λ = 1.5418 Å). Input: a DFT-relaxed cell (GGA-PBE, Alexandria).
Kinematic intensities with the Lorentz-polarization factor, no thermal factor.

Unit cell a=12.8847 b=12.8847 c=15.5334 alpha=90.00 beta=90.00 gamma=120.00
Space group R-3 (No. 148, hexagonal axes)
One atom of each set of equivalent atoms:
K 0.0507 0.2717 0.2032 x18
V 0.0000 0.0000 0.0000 x3
V 0.0000 0.0000 0.5000 x3
Br 0.0143 0.1707 0.4048 x18
Br 0.0334 0.1777 0.9047 x18

Main lines, by angle (5° ≤ 2θ ≤ 70°):
two_theta	Rel. int.
13.75	39
13.89	64
19.59	27
24.00	75
31.11	85
31.31	100
36.95	74
37.15	25
44.92	33
59.17	24

---

[3]
# K2VBr5
Computed powder X-ray diffraction pattern, Cu Kα (λ = 1.5418 Å). Input: a DFT-relaxed cell (GGA-PBE, Alexandria).
Kinematic intensities with the Lorentz-polarization factor, no thermal factor.

Unit cell a=14.0576 b=6.7203 c=7.9540 alpha=90.00 beta=123.10 gamma=90.00
Space group C2 (No. 5)
One atom of each set of equivalent atoms:
K 0.2278 0.0000 0.2606 x4
V 0.0000 0.0078 0.5000 x2
Br 0.0000 0.3663 0.5000 x2
Br 0.0209 0.8434 0.7905 x4
Br 0.2200 0.0001 0.6774 x4

Main lines, by angle (5° ≤ 2θ ≤ 70°):
two_theta	Rel. int.
13.29	89
15.18	100
26.53	61
26.99	41
27.32	93
30.36	90
30.63	92
34.46	91
34.95	74
47.32	49

---

[4]
# KYBr2
Computed powder X-ray diffraction pattern, Cu Kα (λ = 1.5418 Å). Input: a DFT-relaxed cell (GGA-PBE, Alexandria).
Kinematic intensities with the Lorentz-polarization factor, no thermal factor.

Unit cell a=4.2002 b=4.2002 c=29.1732 alpha=90.00 beta=90.00 gamma=120.00
Space group R-3m (No. 166, hexagonal axes)
One atom of each set of equivalent atoms:
K 0.0000 0.0000 0.0000 x3
Y 0.0000 0.0000 0.5000 x3
Br 0.0000 0.0000 0.4050 x6

Main lines, by angle (5° ≤ 2θ ≤ 70°):
two_theta	Rel. int.
24.66	97
25.23	100
28.93	24
34.84	23
36.98	18
39.60	65
42.17	29
43.07	53
58.04	27
59.93	18

---

[5]
# K2ZnBr4
Computed powder X-ray diffraction pattern, Cu Kα (λ = 1.5418 Å). Input: a DFT-relaxed cell (GGA-PBE, Alexandria).
Kinematic intensities with the Lorentz-polarization factor, no thermal factor.

Unit cell a=7.5072 b=7.5998 c=9.1775 alpha=90.00 beta=107.86 gamma=90.00
Space group P2_1 (No. 4)
One atom of each set of equivalent atoms:
K 0.2183 0.0000 0.0527 x2
K 0.2640 0.0048 0.5655 x2
Zn 0.2300 0.4650 0.8020 x2
Br 0.0095 0.7324 0.2636 x2
Br 0.0348 0.7289 0.7489 x2
Br 0.4071 0.4362 0.0706 x2
Br 0.4236 0.4391 0.6332 x2

Main lines, by angle (5° ≤ 2θ ≤ 70°):
two_theta	Rel. int.
15.45	36
23.44	32
26.57	100
26.98	94
29.46	46
29.49	44
31.19	63
34.46	33
39.27	38
44.30	52

---

[6]
# KZrBr2
Computed powder X-ray diffraction pattern, Cu Kα (λ = 1.5418 Å). Input: a DFT-relaxed cell (GGA-PBE, Alexandria).
Kinematic intensities with the Lorentz-polarization factor, no thermal factor.

Unit cell a=3.6962 b=3.8795 c=15.3620 alpha=90.00 beta=90.00 gamma=90.00
Space group Imm2 (No. 44)
One atom of each set of equivalent atoms:
K 0.0000 0.0000 0.0000 x2
Zr 0.0000 0.5000 0.7466 x2
Br 0.0000 0.0000 0.6159 x2
Br 0.0000 0.5000 0.3224 x2

Main lines, by angle (5° ≤ 2θ ≤ 70°):
two_theta	Rel. int.
11.52	59
24.78	20
28.87	31
29.81	43
35.52	100
37.33	52
41.11	18
48.23	22
49.30	17
63.44	21

---

[7]
# KZr2Br8
Computed powder X-ray diffraction pattern, Cu Kα (λ = 1.5418 Å). Input: a DFT-relaxed cell (GGA-PBE, Alexandria).
Kinematic intensities with the Lorentz-polarization factor, no thermal factor.

Unit cell a=9.7838 b=9.7838 c=5.4095 alpha=90.00 beta=90.00 gamma=120.00
Space group P-3 (No. 147)
One atom of each set of equivalent atoms:
K 0.0000 0.0000 0.0000 x1
Zr 0.3333 0.6667 0.2550 x2
Br 0.1815 0.3653 0.2630 x6
Br 0.3333 0.6667 0.7582 x2

Main lines, by angle (5° ≤ 2θ ≤ 70°):
two_theta	Rel. int.
10.44	32
18.13	50
19.47	57
20.97	82
26.73	100
33.12	39
36.74	93
39.53	45
49.85	19
50.29	60

---

[8]
# La3Br4
Computed powder X-ray diffraction pattern, Cu Kα (λ = 1.5418 Å). Input: a DFT-relaxed cell (GGA-PBE, Alexandria).
Kinematic intensities with the Lorentz-polarization factor, no thermal factor.

Unit cell a=3.8795 b=3.8795 c=50.6748 alpha=90.00 beta=90.00 gamma=120.00
Space group R-3m (No. 166, hexagonal axes)
One atom of each set of equivalent atoms:
La 0.0000 0.0000 0.0000 x3
La 0.0000 0.0000 0.2448 x6
Br 0.0000 0.0000 0.1289 x6
Br 0.0000 0.0000 0.3772 x6

Main lines, by angle (5° ≤ 2θ ≤ 70°):
two_theta	Rel. int.
5.23	29
10.47	11
27.98	10
30.11	100
35.27	12
39.09	44
46.84	30
56.69	16
62.59	11
65.32	16

---

[9]
# LaBr3
Computed powder X-ray diffraction pattern, Cu Kα (λ = 1.5418 Å). Input: a DFT-relaxed cell (GGA-PBE, Alexandria).
Kinematic intensities with the Lorentz-polarization factor, no thermal factor.

Unit cell a=8.1323 b=8.1323 c=4.4930 alpha=90.00 beta=90.00 gamma=120.00
Space group P6_3/m (No. 176)
One atom of each set of equivalent atoms:
La 0.3333 0.6667 0.2500 x2
Br 0.0882 0.3893 0.7500 x6

Main lines, by angle (5° ≤ 2θ ≤ 70°):
two_theta	Rel. int.
12.57	73
29.63	71
32.30	100
33.67	35
38.34	35
39.34	62
40.14	27
53.36	18
56.72	22
60.94	37

---

[10]
# LaBr3
Computed powder X-ray diffraction pattern, Cu Kα (λ = 1.5418 Å). Input: a DFT-relaxed cell (GGA-PBE, Alexandria).
Kinematic intensities with the Lorentz-polarization factor, no thermal factor.

Unit cell a=7.7469 b=9.8012 c=6.7601 alpha=90.00 beta=90.00 gamma=90.00
Space group Pnma (No. 62)
One atom of each set of equivalent atoms:
La 0.1255 0.2500 0.0479 x4
Br 0.0379 0.7500 0.3490 x4
Br 0.1681 0.5665 0.8342 x8

Main lines, by angle (5° ≤ 2θ ≤ 70°):
two_theta	Rel. int.
17.41	57
19.64	64
30.26	100
30.39	51
32.30	78
32.56	97
35.96	67
36.45	56
37.27	51
45.84	45